Starting from a PBE-relaxed structure, the X-ray diffraction stick pattern of LiCu2C2O7 was calculated for Cu Kα, 1.54184 Å.
Kinematic intensities with the Lorentz-polarization factor, no thermal factor.

Peak list (10 most intense, 5 to 70 degrees two-theta, low angle first)
(0 1 0), 21.21°, intensity 615
(1 1 0), 21.30°, intensity 313
(1 0 1), 21.98°, intensity 611
(1 1 1), 22.08°, intensity 590
(0 0 4), 23.34°, intensity 1000
(0 1 4), 31.68°, intensity 215
(1 0 5), 36.38°, intensity 298
(1 -1 0), 37.16°, intensity 321
(2 2 1), 43.72°, intensity 189
(0 1 9), 58.71°, intensity 193

Cell and atoms:
Cell: 4.8145 4.8344 15.2427 Å, 89.66 89.62 60.27°
Space group P1 (No. 1)
One atom of each set of equivalent atoms:
Li  0.0000  0.0000  0.0000
Li  0.0018  0.9916  0.4995
Cu  0.3307  0.3301  0.8650
Cu  0.3319  0.3338  0.6347
Cu  0.6636  0.6644  0.3666
Cu  0.6717  0.6554  0.1363
C  0.3341  0.3256  0.0890
C  0.3336  0.3276  0.4107
C  0.6641  0.6655  0.5888
C  0.6654  0.6653  0.9106
O  0.0738  0.3088  0.0856
O  0.0777  0.6052  0.4126
O  0.3093  0.0725  0.4115
O  0.3163  0.6020  0.0911
O  0.3476  0.3047  0.7498
O  0.3860  0.6845  0.5859
O  0.3882  0.9215  0.9129
O  0.6101  0.0679  0.0880
O  0.6132  0.3048  0.4099
O  0.6770  0.6749  0.2513
O  0.6837  0.3884  0.9130
O  0.6848  0.9226  0.5870
O  0.9201  0.3886  0.5912
O  0.9229  0.6870  0.9082

Starting from a PBE-relaxed structure, the X-ray diffraction stick pattern of LaIn2Ni9 was calculated for Cu Kα, 1.54184 Å.
Kinematic intensities with the Lorentz-polarization factor, no thermal factor.

Peak list (10 most intense, 5 to 70 degrees two-theta, low angle first)
(3 1 0), 34.13°, intensity 249
(2 2 1), 35.72°, intensity 218
(0 0 2), 36.99°, intensity 182
(3 1 1), 38.98°, intensity 1000
(2 0 2), 43.12°, intensity 283
(3 2 1), 43.47°, intensity 431
(2 1 2), 44.55°, intensity 775
(4 1 0), 45.00°, intensity 347
(3 1 3), 67.98°, intensity 181
(5 1 2), 69.46°, intensity 165

Cell and atoms:
Cell: 8.3063 8.3063 4.8611 Å, 90.00 90.00 90.00°
Space group P4/mbm (No. 127)
One atom of each set of equivalent atoms:
La  0.0000  0.0000  0.0000
In  0.1233  0.3767  0.0000
Ni  0.0000  0.5000  0.5000
Ni  0.0654  0.2093  0.5000
Ni  0.1763  0.6763  0.2495